No. 1
Calculated X-ray powder pattern of HfNpMo for Cu Kα, 1.54184 Å, from a structure optimized by DFT (GGA-PBE).
Peak positions follow from Bragg's law for the DFT cell and can differ from measured ones.

Peak list (12 most intense, 15° ≤ 2θ ≤ 90°, in order of rising 2θ)
(0 1 2), 3.823 Å, rel. 27
(1 0 4), 3.130 Å, rel. 11
(0 1 5), 2.803 Å, rel. 38
(1 1 0), 2.414 Å, rel. 100
(1 0 7), 2.267 Å, rel. 67
(2 0 5), 1.829 Å, rel. 11
(0 2 7), 1.652 Å, rel. 25
(1 2 5), 1.458 Å, rel. 11
(3 0 0), 1.394 Å, rel. 18
(2 1 7), 1.364 Å, rel. 27
(1 1 12), 1.318 Å, rel. 9
(2 2 0), 1.207 Å, rel. 11

Structure:
a = 4.8283 Å, b = 4.8283 Å, c = 18.8818 Å
α = 90.00°, β = 90.00°, γ = 120.00°
Space group R-3m (No. 166, hexagonal axes)
Unique sites:
Hf1 0.0000 0.0000 0.1352 (multiplicity 6)
Np1 0.0000 0.0000 0.2999 (multiplicity 6)
Mo1 0.0000 0.0000 0.4305 (multiplicity 6)

=====

No. 2
Calculated X-ray powder pattern of Pm4Er10Th for Cu Kα, 1.54184 Å, from a structure optimized by DFT (GGA-PBE).
Peak positions follow from Bragg's law for the DFT cell and can differ from measured ones.

Peak list (12 most intense, 15° ≤ 2θ ≤ 90°, in order of rising 2θ)
(2 0 2), 3.259 Å, rel. 42
(3 2 1), 2.889 Å, rel. 66
(2 2 2), 2.814 Å, rel. 96
(4 0 0), 2.792 Å, rel. 100
(3 1 2), 2.651 Å, rel. 51
(1 0 3), 2.602 Å, rel. 38
(3 3 2), 2.201 Å, rel. 57
(5 0 3), 1.714 Å, rel. 33
(4 0 4), 1.629 Å, rel. 26
(5 4 3), 1.461 Å, rel. 24
(3 2 5), 1.425 Å, rel. 30
(7 3 2), 1.377 Å, rel. 34

Structure:
a = 11.166 Å, b = 11.166 Å, c = 8.026 Å
α = 90.00°, β = 90.00°, γ = 90.00°
Space group I4/mmm (No. 139)
Unique sites:
Pm1 0.225 0.225 0.000 (multiplicity 8)
Er1 0.000 0.207 0.296 (multiplicity 16)
Er2 0.000 0.500 0.250 (multiplicity 4)
Th1 0.000 0.000 0.000 (multiplicity 2)

=====

No. 3
Calculated X-ray powder pattern of BaLiCd2Pd for Cu Kα, 1.54184 Å, from a structure optimized by DFT (GGA-PBE).
Peak positions follow from Bragg's law for the DFT cell and can differ from measured ones.

Peak list (12 most intense, 15° ≤ 2θ ≤ 90°, in order of rising 2θ)
(2 0 -1), 4.218 Å, rel. 45
(1 1 -1), 3.151 Å, rel. 42
(3 1 0), 3.115 Å, rel. 96
(1 1 1), 2.838 Å, rel. 100
(5 1 -1), 2.268 Å, rel. 28
(4 0 1), 2.256 Å, rel. 51
(6 0 -1), 2.252 Å, rel. 23
(0 2 0), 2.228 Å, rel. 65
(1 1 2), 1.813 Å, rel. 27
(4 2 1), 1.586 Å, rel. 24
(6 2 -1), 1.583 Å, rel. 24
(2 2 -2), 1.575 Å, rel. 21

Structure:
a = 13.797 Å, b = 4.455 Å, c = 4.457 Å
α = 90.00°, β = 108.68°, γ = 90.00°
Space group Cm (No. 8)
Unique sites:
Ba1 0.000 0.000 0.000 (multiplicity 2)
Li1 0.279 0.500 0.279 (multiplicity 2)
Cd1 0.126 0.500 0.624 (multiplicity 2)
Cd2 0.275 0.000 0.776 (multiplicity 2)
Pd1 0.409 0.000 0.410 (multiplicity 2)

=====

No. 4
Calculated X-ray powder pattern of ScGeF for Cu Kα, 1.54184 Å, from a structure optimized by DFT (GGA-PBE).
Peak positions follow from Bragg's law for the DFT cell and can differ from measured ones.

Peak list (12 most intense, 15° ≤ 2θ ≤ 90°, in order of rising 2θ)
(0 2 0), 3.473 Å, rel. 39
(1 1 0), 3.252 Å, rel. 23
(1 0 1), 2.714 Å, rel. 14
(0 2 1), 2.626 Å, rel. 13
(1 1 1), 2.528 Å, rel. 63
(0 3 0), 2.313 Å, rel. 17
(1 2 1), 2.138 Å, rel. 100
(0 0 2), 2.009 Å, rel. 19
(2 0 0), 1.840 Å, rel. 19
(2 0 2), 1.357 Å, rel. 13
(1 5 1), 1.236 Å, rel. 16
(3 2 1), 1.112 Å, rel. 14

Structure:
a = 3.681 Å, b = 6.938 Å, c = 4.019 Å
α = 90.00°, β = 90.00°, γ = 90.00°
Space group Pmn2_1 (No. 31)
Unique sites:
Sc1 0.000 0.205 0.000 (multiplicity 2)
Ge1 0.000 0.484 0.497 (multiplicity 2)
F1 0.000 0.960 0.364 (multiplicity 2)

=====

No. 5
Calculated X-ray powder pattern of LiNdTh for Cu Kα, 1.54184 Å, from a structure optimized by DFT (GGA-PBE).
Peak positions follow from Bragg's law for the DFT cell and can differ from measured ones.

Peak list (12 most intense, 15° ≤ 2θ ≤ 90°, in order of rising 2θ)
(1 0 2), 3.184 Å, rel. 70
(1 0 3), 2.803 Å, rel. 100
(0 0 5), 2.642 Å, rel. 18
(1 1 0), 2.569 Å, rel. 45
(1 1 1), 2.522 Å, rel. 15
(1 1 5), 1.842 Å, rel. 26
(2 0 0), 1.817 Å, rel. 16
(1 1 6), 1.672 Å, rel. 15
(2 1 2), 1.578 Å, rel. 19
(2 1 3), 1.525 Å, rel. 33
(1 0 8), 1.504 Å, rel. 17
(2 1 8), 1.158 Å, rel. 15

Structure:
a = 3.634 Å, b = 3.634 Å, c = 13.212 Å
α = 90.00°, β = 90.00°, γ = 90.00°
Space group P4/nmm (No. 129, origin choice 2)
Unique sites:
Li1 0.250 0.250 0.050 (multiplicity 2)
Nd1 0.250 0.250 0.778 (multiplicity 2)
Th1 0.250 0.250 0.410 (multiplicity 2)